No. 1
Structure and theoretical PXRD pattern of Sc4PbAuN (a structure optimized by DFT (PBE); a wavelength of 1.5418 Å).

The 10 most intense peaks (10 to 90 degrees two-theta), sorted by position:
d = 4.221 Å, 2θ = 21.05°, I 66
d = 3.605 Å, 2θ = 24.70°, I 31
d = 3.251 Å, 2θ = 27.43°, I 69
d = 3.121 Å, 2θ = 28.60°, I 75
d = 2.864 Å, 2θ = 31.23°, I 24
d = 2.360 Å, 2θ = 38.14°, I 100
d = 2.207 Å, 2θ = 40.89°, I 59
d = 1.882 Å, 2θ = 48.36°, I 22
d = 1.826 Å, 2θ = 49.95°, I 29
d = 1.302 Å, 2θ = 72.63°, I 30

Structural model:
```
Sc4PbAuN
1.0
3.1243 -7.2101 0.0000
3.1243 7.2101 0.0000
0.0000 0.0000 6.2361
Sc Pb Au N
8 2 2 2
direct
0.0000 0.5000 0.0000 Sc
0.0000 0.5000 0.5000 Sc
0.0783 0.9217 0.7500 Sc
0.4047 0.5953 0.7500 Sc
0.5000 0.0000 0.0000 Sc
0.5000 0.0000 0.5000 Sc
0.5953 0.4047 0.2500 Sc
0.9217 0.0783 0.2500 Sc
0.3939 0.6061 0.2500 Pb
0.6061 0.3939 0.7500 Pb
0.1162 0.8838 0.2500 Au
0.8838 0.1162 0.7500 Au
0.2496 0.7504 0.7500 N
0.7504 0.2496 0.2500 N
```



No. 2
Structure and theoretical PXRD pattern of K3NaO (a structure optimized by DFT (PBE); a wavelength of 1.5418 Å).

The 10 most intense peaks (10 to 90 degrees two-theta), sorted by position:
d = 6.839 Å, 2θ = 12.94°, I 76
d = 6.299 Å, 2θ = 14.06°, I 39
d = 6.040 Å, 2θ = 14.67°, I 74
d = 4.220 Å, 2θ = 21.05°, I 38
d = 3.561 Å, 2θ = 25.01°, I 33
d = 3.359 Å, 2θ = 26.54°, I 55
d = 3.219 Å, 2θ = 27.72°, I 43
d = 3.126 Å, 2θ = 28.55°, I 46
d = 2.971 Å, 2θ = 30.08°, I 28
d = 2.735 Å, 2θ = 32.75°, I 100

Structural model:
```
K3NaO
1.0
9.7952 0.0000 0.0000
0.0000 7.7113 0.0000
-8.3938 0.0000 10.9204
K Na O
12 4 4
direct
0.0125 0.2168 0.4805 K
0.0125 0.2832 0.9805 K
0.2350 0.0654 0.8037 K
0.2350 0.4346 0.3037 K
0.4750 0.7224 0.7723 K
0.4750 0.7776 0.2723 K
0.5250 0.2224 0.7277 K
0.5250 0.2776 0.2277 K
0.7650 0.5654 0.6963 K
0.7650 0.9346 0.1963 K
0.9875 0.7168 0.0195 K
0.9875 0.7832 0.5195 K
0.3076 0.5714 0.9923 Na
0.3076 0.9286 0.4923 Na
0.6924 0.0714 0.5077 Na
0.6924 0.4286 0.0077 Na
0.2630 0.5088 0.1318 O
0.2630 0.9912 0.6318 O
0.7370 0.0088 0.3682 O
0.7370 0.4912 0.8682 O
```



No. 3
Structure and theoretical PXRD pattern of Y4GeS2O (a structure optimized by DFT (PBE); a wavelength of 1.5418 Å).

The 10 most intense peaks (10 to 90 degrees two-theta), sorted by position:
d = 3.203 Å, 2θ = 27.86°, I 45
d = 2.799 Å, 2θ = 31.97°, I 100
d = 2.724 Å, 2θ = 32.88°, I 49
d = 1.983 Å, 2θ = 45.76°, I 17
d = 1.976 Å, 2θ = 45.93°, I 16
d = 1.952 Å, 2θ = 46.52°, I 66
d = 1.603 Å, 2θ = 57.49°, I 16
d = 1.599 Å, 2θ = 57.63°, I 15
d = 1.245 Å, 2θ = 76.53°, I 11
d = 1.225 Å, 2θ = 78.03°, I 13

Structural model:
```
Y4GeS2O
1.0
0.0000 5.4473 3.9655
3.9520 0.0000 3.9655
3.9520 5.4473 0.0000
Y Ge S O
4 1 2 1
direct
0.0062 0.4515 0.9938 Y
0.2398 0.7602 0.2398 Y
0.4515 0.0062 0.5485 Y
0.7602 0.2398 0.7602 Y
0.5065 0.5065 0.4935 Ge
0.2493 0.2493 0.2507 S
0.7493 0.7493 0.7507 S
0.0491 0.0491 0.9510 O
```



No. 4
Structure and theoretical PXRD pattern of KCrNi2Cl8 (a structure optimized by DFT (PBE); a wavelength of 1.5418 Å).

The 10 most intense peaks (10 to 90 degrees two-theta), sorted by position:
d = 4.988 Å, 2θ = 17.78°, I 13
d = 4.237 Å, 2θ = 20.97°, I 100
d = 3.088 Å, 2θ = 28.92°, I 69
d = 2.927 Å, 2θ = 30.54°, I 49
d = 2.568 Å, 2θ = 34.94°, I 39
d = 2.494 Å, 2θ = 36.01°, I 25
d = 1.940 Å, 2θ = 46.84°, I 22
d = 1.853 Å, 2θ = 49.17°, I 34
d = 1.781 Å, 2θ = 51.29°, I 41
d = 1.543 Å, 2θ = 59.93°, I 20

Structural model:
```
KCrNi2Cl8
1.0
3.0852 1.7813 9.2699
-3.0852 1.7813 9.2699
0.0000 -3.5625 9.2699
K Cr Ni Cl
1 1 2 8
direct
0.0000 0.0000 0.0000 K
0.5000 0.5000 0.5000 Cr
0.2370 0.2370 0.2370 Ni
0.7630 0.7630 0.7630 Ni
0.1449 0.4401 0.7654 Cl
0.2346 0.8551 0.5599 Cl
0.3155 0.3155 0.3155 Cl
0.4401 0.7654 0.1449 Cl
0.5599 0.2346 0.8551 Cl
0.6845 0.6845 0.6845 Cl
0.7654 0.1449 0.4401 Cl
0.8551 0.5599 0.2346 Cl
```



No. 5
Structure and theoretical PXRD pattern of Al2Cu3Si3 (a structure optimized by DFT (PBE); a wavelength of 1.5418 Å).

The 10 most intense peaks (10 to 90 degrees two-theta), sorted by position:
d = 6.911 Å, 2θ = 12.81°, I 100
d = 4.101 Å, 2θ = 21.67°, I 58
d = 2.423 Å, 2θ = 37.10°, I 90
d = 2.303 Å, 2θ = 39.11°, I 61
d = 2.294 Å, 2θ = 39.27°, I 54
d = 2.270 Å, 2θ = 39.71°, I 66
d = 2.093 Å, 2θ = 43.23°, I 59
d = 1.924 Å, 2θ = 47.25°, I 56
d = 1.869 Å, 2θ = 48.73°, I 59
d = 1.850 Å, 2θ = 49.27°, I 58

Structural model:
```
Al2Cu3Si3
1.0
4.7365 0.0000 0.0000
1.2953 7.0703 0.0000
1.4825 2.2687 6.9110
Al Cu Si
4 6 6
direct
0.2247 0.2780 0.3742 Al
0.2281 0.6658 0.9066 Al
0.7719 0.3342 0.0934 Al
0.7753 0.7220 0.6258 Al
0.1146 0.0276 0.2084 Cu
0.2777 0.8705 0.5328 Cu
0.2847 0.4882 0.6381 Cu
0.7153 0.5118 0.3619 Cu
0.7223 0.1295 0.4672 Cu
0.8854 0.9724 0.7916 Cu
0.1789 0.6703 0.3020 Si
0.3385 0.2887 0.9700 Si
0.3431 0.0919 0.7521 Si
0.6569 0.9081 0.2479 Si
0.6615 0.7113 0.0300 Si
0.8211 0.3297 0.6980 Si
```



No. 6
Structure and theoretical PXRD pattern of K4NdTe3O12 (a structure optimized by DFT (PBE); a wavelength of 1.5418 Å).

The 10 most intense peaks (10 to 90 degrees two-theta), sorted by position:
d = 4.175 Å, 2θ = 21.28°, I 57
d = 2.952 Å, 2θ = 30.27°, I 100
d = 2.088 Å, 2θ = 43.34°, I 36
d = 1.867 Å, 2θ = 48.77°, I 24
d = 1.705 Å, 2θ = 53.78°, I 38
d = 1.476 Å, 2θ = 62.96°, I 21
d = 1.392 Å, 2θ = 67.27°, I 11
d = 1.320 Å, 2θ = 71.44°, I 17
d = 1.205 Å, 2θ = 79.52°, I 7
d = 1.116 Å, 2θ = 87.39°, I 20

Structural model:
```
K4NdTe3O12
1.0
-4.1754 4.1754 4.1754
4.1754 -4.1754 4.1754
4.1754 4.1754 -4.1754
K Nd Te O
4 1 3 12
direct
0.0000 0.0000 0.5000 K
0.0000 0.5000 0.0000 K
0.5000 0.0000 0.0000 K
0.5000 0.5000 0.5000 K
0.0000 0.0000 0.0000 Nd
0.0000 0.5000 0.5000 Te
0.5000 0.0000 0.5000 Te
0.5000 0.5000 0.0000 Te
0.0000 0.2726 0.2726 O
0.0000 0.7274 0.7274 O
0.2500 0.5000 0.7500 O
0.2500 0.7500 0.5000 O
0.2726 0.0000 0.2726 O
0.2726 0.2726 0.0000 O
0.5000 0.2500 0.7500 O
0.5000 0.7500 0.2500 O
0.7274 0.0000 0.7274 O
0.7274 0.7274 0.0000 O
0.7500 0.2500 0.5000 O
0.7500 0.5000 0.2500 O
```



No. 7
Structure and theoretical PXRD pattern of NaP2PtS8 (a structure optimized by DFT (PBE); a wavelength of 1.5418 Å).

The 10 most intense peaks (10 to 90 degrees two-theta), sorted by position:
d = 5.026 Å, 2θ = 17.65°, I 36
d = 4.384 Å, 2θ = 20.26°, I 100
d = 3.344 Å, 2θ = 26.66°, I 56
d = 2.902 Å, 2θ = 30.81°, I 25
d = 2.568 Å, 2θ = 34.95°, I 22
d = 2.436 Å, 2θ = 36.91°, I 45
d = 2.420 Å, 2θ = 37.16°, I 21
d = 1.858 Å, 2θ = 49.02°, I 19
d = 1.773 Å, 2θ = 51.54°, I 24
d = 1.675 Å, 2θ = 54.79°, I 21

Structural model:
```
NaP2PtS8
1.0
5.8037 0.0000 0.0000
-2.9019 5.0262 0.0000
0.0000 0.0000 8.9599
Na P Pt S
1 2 1 8
direct
0.0000 0.0000 0.0000 Na
0.3333 0.6667 0.7245 P
0.6667 0.3333 0.2755 P
0.0000 0.0000 0.5000 Pt
0.0161 0.6823 0.3334 S
0.3177 0.3338 0.3334 S
0.3333 0.6667 0.9487 S
0.3338 0.0161 0.6666 S
0.6662 0.9839 0.3334 S
0.6667 0.3333 0.0513 S
0.6823 0.6662 0.6666 S
0.9839 0.3177 0.6666 S
```



No. 8
Structure and theoretical PXRD pattern of CsBe2AsH2 (a structure optimized by DFT (PBE); a wavelength of 1.5418 Å).

The 10 most intense peaks (10 to 90 degrees two-theta), sorted by position:
d = 3.889 Å, 2θ = 22.87°, I 26
d = 3.752 Å, 2θ = 23.72°, I 60
d = 3.709 Å, 2θ = 23.99°, I 100
d = 3.668 Å, 2θ = 24.27°, I 21
d = 2.637 Å, 2θ = 33.99°, I 83
d = 2.564 Å, 2θ = 35.00°, I 21
d = 2.523 Å, 2θ = 35.58°, I 19
d = 1.904 Å, 2θ = 47.77°, I 20
d = 1.735 Å, 2θ = 52.77°, I 24
d = 1.674 Å, 2θ = 54.85°, I 34

Structural model:
```
CsBe2AsH2
1.0
3.7516 -6.8202 0.0000
3.7516 6.8202 0.0000
0.0000 0.0000 4.4192
Cs Be As H
2 4 2 4
direct
0.1708 0.8292 0.7500 Cs
0.8292 0.1708 0.2500 Cs
0.3438 0.3438 0.0000 Be
0.3438 0.3438 0.5000 Be
0.6562 0.6562 0.0000 Be
0.6562 0.6562 0.5000 Be
0.3817 0.6183 0.2500 As
0.6183 0.3817 0.7500 As
0.1846 0.2648 0.7500 H
0.2648 0.1846 0.2500 H
0.7352 0.8154 0.7500 H
0.8154 0.7352 0.2500 H
```



No. 9
Structure and theoretical PXRD pattern of PmTh2In3Hg6 (a structure optimized by DFT (PBE); a wavelength of 1.5418 Å).

The 10 most intense peaks (10 to 90 degrees two-theta), sorted by position:
d = 4.166 Å, 2θ = 21.33°, I 49
d = 3.293 Å, 2θ = 27.08°, I 29
d = 2.971 Å, 2θ = 30.08°, I 59
d = 2.756 Å, 2θ = 32.49°, I 54
d = 2.602 Å, 2θ = 34.47°, I 67
d = 2.439 Å, 2θ = 36.85°, I 100
d = 2.122 Å, 2θ = 42.60°, I 68
d = 1.601 Å, 2θ = 57.55°, I 42
d = 1.335 Å, 2θ = 70.52°, I 23
d = 1.300 Å, 2θ = 72.72°, I 26

Structural model:
```
PmTh2In3Hg6
1.0
4.2449 0.0000 0.0000
0.0000 4.2449 0.0000
0.0000 0.0000 20.8752
Pm Th In Hg
1 2 3 6
direct
0.0000 0.0000 0.0000 Pm
0.0000 0.0000 0.2829 Th
0.0000 0.0000 0.7171 Th
0.5000 0.5000 0.2207 In
0.5000 0.5000 0.5000 In
0.5000 0.5000 0.7793 In
0.0000 0.5000 0.1143 Hg
0.0000 0.5000 0.8857 Hg
0.5000 0.0000 0.1143 Hg
0.5000 0.0000 0.8857 Hg
0.5000 0.5000 0.3650 Hg
0.5000 0.5000 0.6350 Hg
```



No. 10
Structure and theoretical PXRD pattern of HfScNi6 (a structure optimized by DFT (PBE); a wavelength of 1.5418 Å).

The 10 most intense peaks (10 to 90 degrees two-theta), sorted by position:
d = 6.062 Å, 2θ = 14.61°, I 8
d = 3.973 Å, 2θ = 22.37°, I 6
d = 3.716 Å, 2θ = 23.94°, I 7
d = 2.146 Å, 2θ = 42.11°, I 100
d = 1.860 Å, 2θ = 48.97°, I 32
d = 1.854 Å, 2θ = 49.14°, I 16
d = 1.315 Å, 2θ = 71.76°, I 9
d = 1.313 Å, 2θ = 71.90°, I 19
d = 1.121 Å, 2θ = 86.86°, I 23
d = 1.119 Å, 2θ = 87.11°, I 11

Structural model:
```
HfScNi6
1.0
3.7084 -5.2616 0.0000
3.7084 5.2616 0.0000
0.0000 0.0000 10.5220
Hf Sc Ni
4 4 24
direct
0.0000 0.0000 0.2484 Hf
0.0000 0.0000 0.7516 Hf
0.2498 0.7502 0.5000 Hf
0.7502 0.2498 0.5000 Hf
0.2496 0.7504 0.0000 Sc
0.5000 0.5000 0.2484 Sc
0.5000 0.5000 0.7516 Sc
0.7504 0.2496 0.0000 Sc
0.0000 0.0000 0.0000 Ni
0.0000 0.0000 0.5000 Ni
0.1246 0.3749 0.1252 Ni
0.1250 0.3746 0.3754 Ni
0.1250 0.3746 0.6246 Ni
0.1246 0.3749 0.8748 Ni
0.2498 0.7502 0.2506 Ni
0.2498 0.7502 0.7494 Ni
0.3749 0.1246 0.1252 Ni
0.3746 0.1250 0.3754 Ni
0.3746 0.1250 0.6246 Ni
0.3749 0.1246 0.8748 Ni
0.5000 0.5000 0.0000 Ni
0.5000 0.5000 0.5000 Ni
0.6251 0.8754 0.1252 Ni
0.6254 0.8750 0.3754 Ni
0.6254 0.8750 0.6246 Ni
0.6251 0.8754 0.8748 Ni
0.7502 0.2498 0.2506 Ni
0.7502 0.2498 0.7494 Ni
0.8754 0.6251 0.1252 Ni
0.8750 0.6254 0.3754 Ni
0.8750 0.6254 0.6246 Ni
0.8754 0.6251 0.8748 Ni
```



No. 11
Structure and theoretical PXRD pattern of BaThCu2Te4 (a structure optimized by DFT (PBE); a wavelength of 1.5418 Å).

The 10 most intense peaks (10 to 90 degrees two-theta), sorted by position:
d = 6.088 Å, 2θ = 14.55°, I 44
d = 5.474 Å, 2θ = 16.19°, I 30
d = 3.467 Å, 2θ = 25.70°, I 100
d = 3.344 Å, 2θ = 26.65°, I 33
d = 3.044 Å, 2θ = 29.34°, I 69
d = 2.826 Å, 2θ = 31.66°, I 71
d = 2.737 Å, 2θ = 32.72°, I 97
d = 2.239 Å, 2θ = 40.27°, I 28
d = 2.073 Å, 2θ = 43.66°, I 59
d = 2.068 Å, 2θ = 43.79°, I 24

Structural model:
```
BaThCu2Te4
1.0
-3.6425 4.1485 4.4797
3.6425 -4.1485 4.4797
3.6425 4.1485 -4.4797
Ba Th Cu Te
1 1 2 4
direct
0.0000 0.0000 0.0000 Ba
0.5000 0.5000 0.0000 Th
0.3611 0.8611 0.5000 Cu
0.6389 0.1389 0.5000 Cu
0.1011 0.0486 0.5498 Te
0.4988 0.5513 0.4502 Te
0.5012 0.9514 0.0525 Te
0.8989 0.4487 0.9475 Te
```



No. 12
Structure and theoretical PXRD pattern of Li7Pt (a structure optimized by DFT (PBE); a wavelength of 1.5418 Å).

The 10 most intense peaks (10 to 90 degrees two-theta), sorted by position:
d = 4.577 Å, 2θ = 19.39°, I 100
d = 3.964 Å, 2θ = 22.43°, I 53
d = 2.803 Å, 2θ = 31.93°, I 44
d = 2.390 Å, 2θ = 37.63°, I 58
d = 2.288 Å, 2θ = 39.37°, I 25
d = 1.819 Å, 2θ = 50.16°, I 26
d = 1.773 Å, 2θ = 51.56°, I 24
d = 1.618 Å, 2θ = 56.91°, I 18
d = 1.526 Å, 2θ = 60.71°, I 19
d = 1.340 Å, 2θ = 70.25°, I 19

Structural model:
```
Li7Pt
1.0
0.0000 3.9636 3.9636
3.9636 0.0000 3.9636
3.9636 3.9636 0.0000
Li Pt
7 1
direct
0.0000 0.0000 0.0000 Li
0.0000 0.0000 0.5000 Li
0.0000 0.5000 0.0000 Li
0.0000 0.5000 0.5000 Li
0.5000 0.0000 0.0000 Li
0.5000 0.0000 0.5000 Li
0.5000 0.5000 0.0000 Li
0.5000 0.5000 0.5000 Pt
```